# 1
Diffraction record for La6Nd2SmSc. The XRD peak list is theoretical, not measured: it uses DFT lattice parameters and positions (GGA-PBE) and copper Kα.

Crystal structure
abc: 11.5415 6.9041 9.2969
angles: 90.00 108.61 90.00
Space group C2/m (No. 12)
Symmetry-distinct sites (fractional):
1 La 0.1268 0.0000 0.4171 (multiplicity 4)
2 La 0.2015 0.2657 0.8100 (multiplicity 8)
3 Nd 0.0711 0.5000 0.1692 (multiplicity 4)
4 Sm 0.0000 0.5000 0.5000 (multiplicity 2)
5 Sc 0.0000 0.0000 0.0000 (multiplicity 2)

Most intense lines, 10 to 80 degrees two-theta, low angle first:
hkl 0 2 1, 2θ = 27.72°, I = 28; hkl 3 1 -2, 2θ = 29.35°, I = 35; hkl 0 0 3, 2θ = 30.44°, I = 32; hkl 2 2 0, 2θ = 30.60°, I = 100; hkl 4 0 -1, 2θ = 30.99°, I = 31; hkl 1 1 -3, 2θ = 31.69°, I = 31; hkl 0 2 2, 2θ = 32.96°, I = 22; hkl 6 2 -2, 2θ = 54.85°, I = 20

=====

# 2
Diffraction record for La2TbNd4Sc. The XRD peak list is theoretical, not measured: it uses DFT lattice parameters and positions (GGA-PBE) and copper Kα.

Crystal structure
abc: 5.1018 5.1289 10.3305
angles: 90.00 90.06 90.00
Space group P2/m (No. 10)
Symmetry-distinct sites (fractional):
1 La 0.0000 0.0000 0.0000 (multiplicity 1)
2 La 0.5000 0.5000 0.5000 (multiplicity 1)
3 Tb 0.0000 0.0000 0.5000 (multiplicity 1)
4 Nd 0.0005 0.5000 0.7550 (multiplicity 2)
5 Nd 0.5000 0.0000 0.2456 (multiplicity 2)
6 Sc 0.5000 0.5000 0.0000 (multiplicity 1)

Most intense lines, 10 to 80 degrees two-theta, low angle first:
hkl 1 1 2, 2θ = 30.16°, I = 100; hkl 0 0 4, 2θ = 34.74°, I = 17; hkl 0 2 0, 2θ = 34.99°, I = 17; hkl 2 0 0, 2θ = 35.18°, I = 17; hkl 1 1 6, 2θ = 59.46°, I = 14; hkl 1 3 2, 2θ = 59.79°, I = 14; hkl 3 1 2, 2θ = 60.05°, I = 14; hkl 2 2 4, 2θ = 62.72°, I = 12

=====

# 3
Diffraction record for LaTb2Nd4Sc. The XRD peak list is theoretical, not measured: it uses DFT lattice parameters and positions (GGA-PBE) and copper Kα.

Crystal structure
abc: 5.0853 5.1067 10.2128
angles: 90.00 90.00 90.00
Space group Pmmm (No. 47)
Symmetry-distinct sites (fractional):
1 La 0.0000 0.0000 0.0000 (multiplicity 1)
2 Tb 0.0000 0.0000 0.5000 (multiplicity 1)
3 Tb 0.5000 0.5000 0.5000 (multiplicity 1)
4 Nd 0.0000 0.5000 0.2487 (multiplicity 2)
5 Nd 0.5000 0.0000 0.2492 (multiplicity 2)
6 Sc 0.5000 0.5000 0.0000 (multiplicity 1)

Most intense lines, 10 to 80 degrees two-theta, low angle first:
hkl 1 1 2, 2θ = 30.36°, I = 100; hkl 0 2 0, 2θ = 35.15°, I = 34; hkl 2 0 0, 2θ = 35.30°, I = 17; hkl 0 2 4, 2θ = 50.55°, I = 12; hkl 2 2 0, 2θ = 50.67°, I = 24; hkl 1 3 2, 2θ = 60.12°, I = 28; hkl 3 1 2, 2θ = 60.32°, I = 14; hkl 2 2 4, 2θ = 63.16°, I = 12

=====

# 4
Diffraction record for La4Nd3ScTe8. The XRD peak list is theoretical, not measured: it uses DFT lattice parameters and positions (GGA-PBE) and copper Kα.

Crystal structure
abc: 9.0346 9.0346 21.9476
angles: 90.00 90.00 120.00
Space group R-3m (No. 166, hexagonal axes)
Symmetry-distinct sites (fractional):
1 La 0.0000 0.0000 0.0000 (multiplicity 3)
2 La 0.0000 0.5000 0.0000 (multiplicity 9)
3 Nd 0.0000 0.5000 0.5000 (multiplicity 9)
4 Sc 0.0000 0.0000 0.5000 (multiplicity 3)
5 Te 0.0000 0.0000 0.2485 (multiplicity 6)
6 Te 0.0121 0.5061 0.2454 (multiplicity 18)

Most intense lines, 10 to 80 degrees two-theta, low angle first:
hkl 0 2 4, 2θ = 28.01°, I = 100; hkl 2 2 0, 2θ = 39.91°, I = 38; hkl 2 0 8, 2θ = 40.15°, I = 37; hkl 4 0 4, 2θ = 49.47°, I = 20; hkl 0 4 8, 2θ = 57.90°, I = 12; hkl 2 4 4, 2θ = 65.36°, I = 17; hkl 2 2 12, 2θ = 65.69°, I = 17; hkl 4 2 8, 2θ = 72.64°, I = 12

=====

# 5
Diffraction record for LaNdY2Sc. The XRD peak list is theoretical, not measured: it uses DFT lattice parameters and positions (GGA-PBE) and copper Kα.

Crystal structure
abc: 7.8985 5.0909 8.0021
angles: 90.00 90.49 90.00
Space group P2_1/m (No. 11)
Symmetry-distinct sites (fractional):
1 La 0.2410 0.2500 0.2384 (multiplicity 2)
2 Nd 0.4456 0.2500 0.6521 (multiplicity 2)
3 Y 0.1473 0.7500 0.5455 (multiplicity 2)
4 Y 0.3380 0.7500 0.9471 (multiplicity 2)
5 Sc 0.0491 0.2500 0.8490 (multiplicity 2)

Most intense lines, 10 to 80 degrees two-theta, low angle first:
hkl 2 1 -1, 2θ = 30.67°, I = 100; hkl 0 2 0, 2θ = 35.26°, I = 17; hkl 1 0 -3, 2θ = 35.43°, I = 17; hkl 3 0 1, 2θ = 36.00°, I = 16; hkl 3 2 1, 2θ = 51.31°, I = 17; hkl 2 3 -1, 2θ = 60.45°, I = 14; hkl 3 1 -4, 2θ = 60.68°, I = 13; hkl 5 1 0, 2θ = 61.44°, I = 12

=====

# 6
Diffraction record for La2NdY5Sc. The XRD peak list is theoretical, not measured: it uses DFT lattice parameters and positions (GGA-PBE) and copper Kα.

Crystal structure
abc: 5.6524 19.9772 10.5605
angles: 90.00 90.00 90.00
Space group Cmc2_1 (No. 36)
Symmetry-distinct sites (fractional):
1 La 0.0000 0.1138 0.0000 (multiplicity 4)
2 La 0.0000 0.1160 0.4205 (multiplicity 4)
3 Nd 0.0000 0.4118 0.1457 (multiplicity 4)
4 Y 0.0000 0.0152 0.7045 (multiplicity 4)
5 Y 0.0000 0.2750 0.0141 (multiplicity 4)
6 Y 0.0000 0.2949 0.3875 (multiplicity 4)
7 Y 0.0000 0.3716 0.7056 (multiplicity 4)
8 Y 0.0000 0.4829 0.4265 (multiplicity 4)
9 Sc 0.0000 0.1958 0.7008 (multiplicity 4)

Most intense lines, 10 to 80 degrees two-theta, low angle first:
hkl 1 3 2, 2θ = 26.70°, I = 26; hkl 0 6 1, 2θ = 28.10°, I = 14; hkl 1 1 3, 2θ = 30.24°, I = 37; hkl 2 0 0, 2θ = 31.66°, I = 47; hkl 1 5 2, 2θ = 32.25°, I = 100; hkl 0 6 5, 2θ = 51.23°, I = 13; hkl 3 5 2, 2θ = 56.76°, I = 19; hkl 2 6 5, 2θ = 61.48°, I = 13